1.
Calculated powder diffraction line list of FeS4N4Cl3 for Cu Kα (λ = 1.5418 Å), from a DFT-relaxed cell (GGA-PBE, OQMD).
Kinematic intensities with the Lorentz-polarization factor, no thermal factor.

Principal peaks in the range 5 to 70 degrees two-theta, in order of falling intensity:
- hkl 1 2 -3, 27.6°, d 3.237, I = 1000
- hkl 1 1 0, 15.3°, d 5.799, I = 502
- hkl 1 0 4, 30.1°, d 2.970, I = 389
- hkl 1 1 1, 17.0°, d 5.216, I = 384
- hkl 0 4 0, 31.7°, d 2.820, I = 227
- hkl 0 3 2, 27.0°, d 3.299, I = 178
- hkl 1 3 0, 27.1°, d 3.286, I = 161
- hkl 2 0 -2, 28.4°, d 3.139, I = 159
- hkl 2 2 0, 30.8°, d 2.901, I = 157
- hkl 0 2 7, 49.1°, d 1.857, I = 148

Structure:
a b c (Å): 6.7852 11.2784 13.8152
angles (deg): 90.00 94.74 90.00
Space group P2_1/c (No. 14)
Asymmetric unit:
Fe (0.2296, 0.0939, 0.2632) x4
S (0.0493, 0.6979, 0.9735) x4
S (0.2068, 0.1123, 0.9573) x4
S (0.2672, 0.1370, 0.6789) x4
S (0.4862, 0.6934, 0.3935) x4
N (0.0192, 0.1708, 0.0008) x4
N (0.0773, 0.1238, 0.6041) x4
N (0.3421, 0.2212, 0.1835) x4
N (0.4173, 0.1364, 0.0086) x4
Cl (0.0834, 0.6387, 0.2338) x4
Cl (0.2861, 0.5719, 0.6896) x4
Cl (0.3849, 0.0949, 0.4078) x4

---

2.
Calculated powder diffraction line list of Er11Al2Ge8 for Cu Kα (λ = 1.5418 Å), from a DFT-relaxed cell (GGA-PBE, OQMD).
Kinematic intensities with the Lorentz-polarization factor, no thermal factor.

Principal peaks in the range 5 to 70 degrees two-theta, in order of falling intensity:
- hkl 2 1 5, 33.5°, d 2.678, I = 1000
- hkl 3 2 3, 34.0°, d 2.637, I = 954
- hkl 3 3 0, 34.8°, d 2.578, I = 625
- hkl 4 0 0, 32.7°, d 2.735, I = 420
- hkl 4 0 2, 34.7°, d 2.588, I = 369
- hkl 3 1 4, 34.3°, d 2.617, I = 350
- hkl 3 0 5, 37.4°, d 2.405, I = 330
- hkl 3 0 1, 25.0°, d 3.555, I = 289
- hkl 3 3 10, 69.1°, d 1.360, I = 271
- hkl 6 0 0, 50.0°, d 1.824, I = 258

Structure:
a b c (Å): 10.9392 10.9392 16.0027
angles (deg): 90.00 90.00 90.00
Space group I4/mmm (No. 139)
Asymmetric unit:
Er (0.0000, 0.0000, 0.1659) x4
Er (0.0000, 0.2515, 0.3098) x16
Er (0.0000, 0.3322, 0.1022) x16
Er (0.1745, 0.1745, 0.5000) x8
Al (0.1229, 0.1229, 0.0000) x8
Ge (0.0000, 0.0000, 0.3833) x4
Ge (0.0000, 0.3546, 0.5000) x8
Ge (0.0000, 0.5000, 0.2500) x4
Ge (0.2056, 0.2056, 0.1743) x16